Structure and calculated powder diffraction line list of YPu2AgO8 (the GGA-PBE geometry in Alexandria; CuKα).
No peak broadening, texture or thermal motion is included.

Principal peaks in the range 10 to 90 degrees two-theta, by intensity:
2θ 29.89, I = 100, hkl 1 1 2
2θ 24.25, I = 80, hkl 2 0 0
2θ 46.34, I = 61, hkl 3 1 2
2θ 34.56, I = 23, hkl 2 2 0
2θ 17.12, I = 23, hkl 1 0 1
2θ 59.09, I = 20, hkl 3 3 2

Crystal structure
```
data_YPu2AgO8
_chemical_formula_sum 'Y2 Pu4 Ag2 O16'
_cell_length_a 7.3415
_cell_length_b 7.3415
_cell_length_c 7.3058
_cell_angle_alpha 90.00
_cell_angle_beta 90.00
_cell_angle_gamma 90.00
_symmetry_space_group_name_H-M 'I -4 m 2'
_symmetry_Int_Tables_number 119
_symmetry_space_group_name_Hall 'I -4 -2'
loop_
_atom_site_label
_atom_site_fract_x
_atom_site_fract_y
_atom_site_fract_z
Y1 0.0000 0.0000 0.0000
Pu1 0.0000 0.0000 0.5000
Pu2 0.0000 0.5000 0.7500
Ag1 0.0000 0.5000 0.2500
O1 0.0000 0.1795 0.2996
O2 0.0000 0.2996 0.9295
```



Structure and calculated powder diffraction line list of PuZnAg2O4 (the GGA-PBE geometry in Alexandria; CuKα).
No peak broadening, texture or thermal motion is included.

Principal peaks in the range 10 to 90 degrees two-theta, by intensity:
2θ 30.66, I = 100, hkl 1 1 -2
2θ 30.49, I = 51, hkl 1 1 0
2θ 30.32, I = 51, hkl 1 -1 1
2θ 50.69, I = 28, hkl 0 2 -3
2θ 34.66, I = 28, hkl 0 2 -1
2θ 35.62, I = 26, hkl 2 0 -1

Crystal structure
```
data_PuZnAg2O4
_chemical_formula_sum 'Pu1 Zn1 Ag2 O4'
_cell_length_a 5.0415
_cell_length_b 5.1768
_cell_length_c 6.1461
_cell_angle_alpha 114.90
_cell_angle_beta 113.47
_cell_angle_gamma 90.32
_symmetry_space_group_name_H-M 'P 1'
_symmetry_Int_Tables_number 1
loop_
_symmetry_equiv_pos_as_xyz
'x,y,z'
loop_
_atom_site_label
_atom_site_fract_x
_atom_site_fract_y
_atom_site_fract_z
Pu1 0.0000 0.0000 0.0000
Zn1 0.2473 0.7492 0.4933
Ag1 0.5064 0.4939 0.9948
Ag2 0.7514 0.2546 0.5138
O1 0.1299 0.0660 0.7375
O2 0.3245 0.8666 0.2527
O3 0.6057 0.6809 0.7368
O4 0.9347 0.3898 0.2604
```



Structure and calculated powder diffraction line list of RbAgO (the GGA-PBE geometry in Alexandria; CuKα).
No peak broadening, texture or thermal motion is included.

Principal peaks in the range 10 to 90 degrees two-theta, by intensity:
2θ 31.22, I = 100, hkl 3 0 1
2θ 36.44, I = 85, hkl 1 2 1
2θ 23.49, I = 59, hkl 1 1 1
2θ 29.72, I = 49, hkl 0 0 2
2θ 17.32, I = 48, hkl 1 0 1
2θ 18.15, I = 41, hkl 2 0 0

Crystal structure
```
data_RbAgO
_chemical_formula_sum 'Rb4 Ag4 O4'
_cell_length_a 9.7744
_cell_length_b 5.6255
_cell_length_c 6.0122
_cell_angle_alpha 90.00
_cell_angle_beta 90.00
_cell_angle_gamma 90.00
_symmetry_space_group_name_H-M 'P n m a'
_symmetry_Int_Tables_number 62
loop_
_symmetry_equiv_pos_as_xyz
'x,y,z'
'-x,-y,-z'
'-x+1/2,-y,z+1/2'
'x+1/2,y,-z+1/2'
'x+1/2,-y+1/2,-z+1/2'
'-x+1/2,y+1/2,z+1/2'
'-x,y+1/2,-z'
'x,-y+1/2,z'
loop_
_atom_site_label
_atom_site_fract_x
_atom_site_fract_y
_atom_site_fract_z
Rb1 0.1537 0.2500 0.0064
Ag1 0.0000 0.0000 0.5000
O1 0.0808 0.7500 0.2808
```



Structure and calculated powder diffraction line list of Rb4AgO (the GGA-PBE geometry in Alexandria; CuKα).
No peak broadening, texture or thermal motion is included.

Principal peaks in the range 10 to 90 degrees two-theta, by intensity:
2θ 27.40, I = 100, hkl 1 1 2
2θ 31.35, I = 69, hkl 0 6 2
2θ 24.27, I = 54, hkl 1 5 0
2θ 45.25, I = 48, hkl 2 6 2
2θ 30.38, I = 46, hkl 1 7 0
2θ 31.78, I = 34, hkl 2 0 0

Crystal structure
```
data_Rb4AgO
_chemical_formula_sum 'Rb16 Ag4 O4'
_cell_length_a 5.6312
_cell_length_b 24.1558
_cell_length_c 8.0875
_cell_angle_alpha 90.00
_cell_angle_beta 90.00
_cell_angle_gamma 90.00
_symmetry_space_group_name_H-M 'C m c 21'
_symmetry_Int_Tables_number 36
loop_
_symmetry_equiv_pos_as_xyz
'x,y,z'
'-x,-y,z+1/2'
'-x,y,z'
'x,-y,z+1/2'
'x+1/2,y+1/2,z'
'-x+1/2,-y+1/2,z+1/2'
'-x+1/2,y+1/2,z'
'x+1/2,-y+1/2,z+1/2'
loop_
_atom_site_label
_atom_site_fract_x
_atom_site_fract_y
_atom_site_fract_z
Rb1 0.0000 0.9996 0.0000
Rb2 0.0000 0.1625 0.0050
Rb3 0.0000 0.1635 0.4903
Rb4 0.0000 0.4232 0.7491
Ag1 0.0000 0.4177 0.2490
O1 0.0000 0.0890 0.2488
```



Structure and calculated powder diffraction line list of Rb10Ag2O3 (the GGA-PBE geometry in Alexandria; CuKα).
No peak broadening, texture or thermal motion is included.

Principal peaks in the range 10 to 90 degrees two-theta, by intensity:
2θ 26.98, I = 100, hkl 0 2 2
2θ 29.34, I = 79, hkl 6 2 -1
2θ 26.13, I = 52, hkl 6 0 -3
2θ 44.61, I = 27, hkl 8 2 2
2θ 28.99, I = 26, hkl 8 0 0
2θ 25.97, I = 26, hkl 6 0 1

Crystal structure
```
data_Rb10Ag2O3
_chemical_formula_sum 'Rb40 Ag8 O12'
_cell_length_a 26.5935
_cell_length_b 8.3776
_cell_length_c 11.6079
_cell_angle_alpha 90.00
_cell_angle_beta 112.08
_cell_angle_gamma 90.00
_symmetry_space_group_name_H-M 'C 1 2/m 1'
_symmetry_Int_Tables_number 12
loop_
_symmetry_equiv_pos_as_xyz
'x,y,z'
'-x,-y,-z'
'-x,y,-z'
'x,-y,z'
'x+1/2,y+1/2,z'
'-x+1/2,-y+1/2,-z'
'-x+1/2,y+1/2,-z'
'x+1/2,-y+1/2,z'
loop_
_atom_site_label
_atom_site_fract_x
_atom_site_fract_y
_atom_site_fract_z
Rb1 0.0000 0.2136 0.0000
Rb2 0.0164 0.5000 0.6651
Rb3 0.0225 0.0000 0.6759
Rb4 0.1104 0.2524 0.5260
Rb5 0.1364 0.0000 0.2531
Rb6 0.1448 0.2303 0.9765
Rb7 0.2316 0.0000 0.7546
Rb8 0.2500 0.2500 0.5000
Ag1 0.1219 0.5000 0.2428
Ag2 0.2252 0.5000 0.7894
O1 0.0000 0.2525 0.5000
O2 0.0744 0.0000 0.9706
O3 0.1745 0.0000 0.5114
```



Structure and calculated powder diffraction line list of Rb3Ag2O3 (the GGA-PBE geometry in Alexandria; CuKα).
No peak broadening, texture or thermal motion is included.

Principal peaks in the range 10 to 90 degrees two-theta, by intensity:
2θ 24.79, I = 100, hkl 0 2 4
2θ 37.37, I = 78, hkl 1 3 3
2θ 29.39, I = 72, hkl 1 1 3
2θ 32.49, I = 67, hkl 0 4 1
2θ 42.56, I = 65, hkl 1 1 7
2θ 35.20, I = 64, hkl 1 1 5

Crystal structure
```
data_Rb3Ag2O3
_chemical_formula_sum 'Rb12 Ag8 O12'
_cell_length_a 3.6581
_cell_length_b 11.1451
_cell_length_c 18.7861
_cell_angle_alpha 90.00
_cell_angle_beta 90.00
_cell_angle_gamma 90.00
_symmetry_space_group_name_H-M 'C m c m'
_symmetry_Int_Tables_number 63
_symmetry_space_group_name_Hall '-C 2c 2'
loop_
_atom_site_label
_atom_site_fract_x
_atom_site_fract_y
_atom_site_fract_z
Rb1 0.0000 0.0490 0.1369
Rb2 0.0000 0.2984 0.2500
Ag1 0.0000 0.2105 0.5483
O1 0.0000 0.3296 0.0985
O2 0.0000 0.4118 0.7500
```



Structure and calculated powder diffraction line list of Rb6Ag3O (the GGA-PBE geometry in Alexandria; CuKα).
No peak broadening, texture or thermal motion is included.

Principal peaks in the range 10 to 90 degrees two-theta, by intensity:
2θ 29.79, I = 100, hkl 0 0 4
2θ 25.00, I = 98, hkl 2 1 -3
2θ 32.29, I = 60, hkl 1 3 0
2θ 29.11, I = 55, hkl 2 2 -2
2θ 24.64, I = 55, hkl 0 2 2
2θ 23.75, I = 53, hkl 1 2 -2

Crystal structure
```
data_Rb6Ag3O
_chemical_formula_sum 'Rb12 Ag6 O2'
_cell_length_a 8.3562
_cell_length_b 9.0507
_cell_length_c 14.2531
_cell_angle_alpha 90.00
_cell_angle_beta 122.68
_cell_angle_gamma 90.00
_symmetry_space_group_name_H-M 'P 1 21/c 1'
_symmetry_Int_Tables_number 14
loop_
_symmetry_equiv_pos_as_xyz
'x,y,z'
'-x,-y,-z'
'-x,y+1/2,-z+1/2'
'x,-y+1/2,z+1/2'
loop_
_atom_site_label
_atom_site_fract_x
_atom_site_fract_y
_atom_site_fract_z
Rb1 0.1076 0.0400 0.2192
Rb2 0.2113 0.7309 0.0588
Rb3 0.3221 0.1609 0.0459
Ag1 0.2913 0.0821 0.7546
Ag2 0.5000 0.0000 0.5000
O1 0.0000 0.0000 0.0000
```



Structure and calculated powder diffraction line list of RbRe2AgO8 (the GGA-PBE geometry in Alexandria; CuKα).
No peak broadening, texture or thermal motion is included.

Principal peaks in the range 10 to 90 degrees two-theta, by intensity:
2θ 27.18, I = 100, hkl 3 1 -1
2θ 23.69, I = 92, hkl 1 1 1
2θ 24.77, I = 65, hkl 2 0 -2
2θ 13.31, I = 42, hkl 0 0 1
2θ 29.66, I = 41, hkl 0 2 0
2θ 39.01, I = 32, hkl 2 2 -2

Crystal structure
```
data_RbRe2AgO8
_chemical_formula_sum 'Rb2 Re4 Ag2 O16'
_cell_length_a 11.8197
_cell_length_b 6.0248
_cell_length_c 7.3555
_cell_angle_alpha 90.00
_cell_angle_beta 115.23
_cell_angle_gamma 90.00
_symmetry_space_group_name_H-M 'C 1 2/m 1'
_symmetry_Int_Tables_number 12
loop_
_symmetry_equiv_pos_as_xyz
'x,y,z'
'-x,-y,-z'
'-x,y,-z'
'x,-y,z'
'x+1/2,y+1/2,z'
'-x+1/2,-y+1/2,-z'
'-x+1/2,y+1/2,-z'
'x+1/2,-y+1/2,z'
loop_
_atom_site_label
_atom_site_fract_x
_atom_site_fract_y
_atom_site_fract_z
Rb1 0.0000 0.0000 0.0000
Re1 0.2032 0.0000 0.6736
Ag1 0.0000 0.5000 0.5000
O1 0.1337 0.2360 0.7264
O2 0.1353 0.5000 0.1786
O3 0.1737 0.0000 0.4190
```